Starting from a cell relaxed with PBE+U, the powder diffractogram of Li6Mn3CoO10 was simulated for copper Kα.
Kinematic intensities with the Lorentz-polarization factor, no thermal factor.

The 10 most intense peaks (5° ≤ 2θ ≤ 70°), by angle:
| d/Å | two_theta | I_rel | hkl |
| --- | --- | --- | --- |
| 12.381 | 7.14 | 39 | 0 0 2 |
| 8.254 | 10.72 | 15 | 0 0 3 |
| 4.953 | 17.91 | 100 | 0 0 5 |
| 2.640 | 33.96 | 18 | 2 0 1 |
| 2.477 | 36.27 | 26 | 1 1 -2 |
| 2.216 | 40.71 | 38 | 2 0 6 |
| 2.063 | 43.88 | 59 | 1 1 -7 |
| 1.947 | 46.66 | 10 | 1 1 8 |
| 1.513 | 61.25 | 18 | 1 1 13 |
| 1.507 | 61.53 | 18 | 3 1 -1 |

Structure:
Unit cell a=5.323 b=2.866 c=24.768 alpha=90.00 beta=91.14 gamma=90.00
Space group Cm (No. 8)
Unique sites:
Li1 0.000 0.000 0.000 x2
Li2 0.010 0.500 0.503 x2
Li3 0.105 0.000 0.302 x2
Li4 0.191 0.500 0.095 x2
Li5 0.325 0.000 0.907 x2
Li6 0.400 0.500 0.697 x2
Mn1 0.107 0.500 0.799 x2
Mn2 0.308 0.500 0.402 x2
Mn3 0.403 0.000 0.202 x2
Co1 0.206 0.000 0.600 x2
O1 0.044 0.000 0.159 x2
O2 0.049 0.500 0.646 x2
O3 0.156 0.500 0.949 x2
O4 0.180 0.000 0.447 x2
O5 0.245 0.000 0.754 x2
O6 0.271 0.500 0.248 x2
O7 0.356 0.000 0.052 x2
O8 0.365 0.500 0.555 x2
O9 0.432 0.000 0.355 x2
O10 0.463 0.500 0.841 x2

***

Starting from a cell relaxed with PBE+U, the powder diffractogram of Li4MnCo2O7 was simulated for copper Kα.
Kinematic intensities with the Lorentz-polarization factor, no thermal factor.

The 10 most intense peaks (5° ≤ 2θ ≤ 70°), by angle:
| d/Å | two_theta | I_rel | hkl |
| --- | --- | --- | --- |
| 4.837 | 18.34 | 100 | 0 1 -1 |
| 2.659 | 33.71 | 22 | 1 1 3 |
| 2.453 | 36.63 | 12 | -1 1 2 |
| 2.440 | 36.84 | 15 | 2 1 0 |
| 2.234 | 40.37 | 37 | 1 0 4 |
| 2.031 | 44.62 | 27 | -1 2 1 |
| 2.014 | 45.01 | 26 | 2 2 -1 |
| 1.507 | 61.53 | 9 | 0 2 5 |
| 1.498 | 61.94 | 9 | 2 -2 3 |
| 1.414 | 66.09 | 10 | 3 0 -2 |

Structure:
Unit cell a=5.005 b=5.787 c=9.372 alpha=89.34 beta=79.99 gamma=73.36
Space group P-1 (No. 2)
Unique sites:
Li1 0.000 0.000 0.000 x1
Li2 0.000 0.500 0.000 x1
Li3 0.149 0.210 0.719 x2
Li4 0.281 0.932 0.428 x2
Li5 0.425 0.646 0.141 x2
Mn1 0.288 0.426 0.425 x2
Co1 0.143 0.715 0.718 x2
Co2 0.432 0.142 0.132 x2
O1 0.001 0.732 0.496 x2
O2 0.138 0.443 0.211 x2
O3 0.153 0.997 0.216 x2
O4 0.309 0.159 0.931 x2
O5 0.314 0.694 0.922 x2
O6 0.421 0.876 0.645 x2
O7 0.422 0.417 0.646 x2

***

Starting from a cell relaxed with PBE+U, the powder diffractogram of Li7Mn4CoO12 was simulated for copper Kα.
Kinematic intensities with the Lorentz-polarization factor, no thermal factor.

The 10 most intense peaks (5° ≤ 2θ ≤ 70°), by angle:
| d/Å | two_theta | I_rel | hkl |
| --- | --- | --- | --- |
| 14.584 | 6.06 | 34 | 0 0 1 |
| 4.861 | 18.25 | 100 | 0 0 3 |
| 2.623 | 34.19 | 18 | 2 0 -1 |
| 2.477 | 36.27 | 23 | 1 1 1 |
| 2.181 | 41.40 | 34 | 2 0 -4 |
| 2.057 | 44.03 | 56 | 1 1 4 |
| 1.924 | 47.23 | 13 | 1 1 -5 |
| 1.592 | 57.91 | 10 | 1 1 7 |
| 1.503 | 61.70 | 17 | 3 1 0 |
| 1.490 | 62.33 | 17 | 1 1 -8 |

Structure:
Unit cell a=5.300 b=2.866 c=14.594 alpha=90.00 beta=92.10 gamma=90.00
Space group Pm (No. 6)
Unique sites:
Li1 0.000 0.000 0.000 x1
Li2 0.001 0.000 0.498 x1
Li3 0.156 0.500 0.844 x1
Li4 0.343 0.000 0.159 x1
Li5 0.502 0.500 0.500 x1
Li6 0.657 0.000 0.841 x1
Li7 0.844 0.500 0.154 x1
Mn1 0.329 0.000 0.666 x1
Mn2 0.499 0.500 0.000 x1
Mn3 0.670 0.000 0.333 x1
Mn4 0.830 0.500 0.667 x1
Co1 0.170 0.500 0.331 x1
O1 0.018 0.000 0.260 x1
O2 0.188 0.500 0.587 x1
O3 0.204 0.500 0.076 x1
O4 0.316 0.000 0.406 x1
O5 0.348 0.000 0.925 x1
O6 0.475 0.500 0.742 x1
O7 0.520 0.500 0.258 x1
O8 0.651 0.000 0.076 x1
O9 0.689 0.000 0.588 x1
O10 0.793 0.500 0.925 x1
O11 0.816 0.500 0.410 x1
O12 0.977 0.000 0.744 x1